Diffraction record for SmCr2IrO8. The X-ray powder pattern is computed, not measured: it uses a GGA+U-relaxed structure and Cu Kα (weighted mean of Kα1 and Kα2).
Kinematic intensities with the Lorentz-polarization factor, no thermal factor.

Structure:
```
data_SmCr2IrO8
_chemical_formula_sum 'Sm1 Cr2 Ir1 O8'
_symmetry_space_group_name_H-M 'P 1'
_symmetry_Int_Tables_number 1
_cell_length_a 4.7290
_cell_length_b 6.3976
_cell_length_c 4.7355
_cell_angle_alpha 90.00
_cell_angle_beta 91.32
_cell_angle_gamma 90.00
loop_
_symmetry_equiv_pos_as_xyz
'x,y,z'
loop_
_atom_site_label
_atom_site_type_symbol
_atom_site_fract_x
_atom_site_fract_y
_atom_site_fract_z
Sm1 Sm 0.0000 0.0000 0.0000
Cr1 Cr 0.5000 0.2491 0.5000
Cr2 Cr 0.5000 0.7509 0.5000
Ir1 Ir 0.0000 0.5000 0.0000
O1 O 0.2091 0.2869 0.2076
O2 O 0.2091 0.7131 0.2076
O3 O 0.2909 0.5000 0.7076
O4 O 0.3278 0.0000 0.6703
O5 O 0.6722 0.0000 0.3297
O6 O 0.7091 0.5000 0.2924
O7 O 0.7909 0.2869 0.7924
O8 O 0.7909 0.7131 0.7924
```

Peak list (10 most intense, 2θ from 15° to 90°, by intensity)
33.83°, 2.650 Å, I 100, hkl 1 2 0
26.33°, 3.384 Å, I 64, hkl 1 0 -1
18.76°, 4.731 Å, I 62, hkl 1 0 0
26.96°, 3.308 Å, I 57, hkl 1 0 1
51.45°, 1.776 Å, I 42, hkl 2 2 -1
52.16°, 1.754 Å, I 37, hkl 2 2 1
38.04°, 2.366 Å, I 26, hkl 0 0 2
39.18°, 2.299 Å, I 24, hkl 1 2 1
66.05°, 1.414 Å, I 23, hkl 0 2 3
42.32°, 2.135 Å, I 15, hkl 1 0 -2